# 1
For Pr3Si2S8Br, a crystal structure in the Materials Project, relaxed with PBE gives the theoretical XRD peak list in this record (Cu Kα (λ = 1.5418 Å)).
Lines closer than 0.1° are merged.

Structure:
Lattice parameters (Å, degrees): 8.8516 8.8516 11.0053 96.82 96.82 52.34
Sites, in units of the cell vectors:
Pr  0.1102  0.8898  0.7500
Pr  0.1819  0.4258  0.3161
Pr  0.4258  0.1819  0.8161
Pr  0.5742  0.8181  0.1839
Pr  0.8181  0.5742  0.6839
Pr  0.8898  0.1102  0.2500
Si  0.1255  0.1941  0.0297
Si  0.1941  0.1255  0.5297
Si  0.8059  0.8745  0.4703
Si  0.8745  0.8059  0.9703
S  0.0545  0.2424  0.8397
S  0.0889  0.7777  0.4527
S  0.1020  0.6067  0.8552
S  0.2116  0.3545  0.5853
S  0.2223  0.9111  0.0473
S  0.2424  0.0545  0.3397
S  0.3545  0.2116  0.0853
S  0.3933  0.8980  0.6448
S  0.6067  0.1020  0.3552
S  0.6455  0.7884  0.9147
S  0.7576  0.9455  0.6603
S  0.7777  0.0889  0.9527
S  0.7884  0.6455  0.4147
S  0.8980  0.3933  0.1448
S  0.9111  0.2223  0.5473
S  0.9455  0.7576  0.1603
Br  0.4954  0.5046  0.2500
Br  0.5046  0.4954  0.7500

Top 10 peaks for 2θ = 10–90°, sorted by position:
2θ/deg	I_rel
16.25	1000
22.79	638
24.21	762
26.10	485
32.58	811
33.80	455
34.58	550
37.55	434
38.99	622
40.02	648

---

# 2
For Sc5Ru3, a crystal structure in the Materials Project, relaxed with PBE gives the theoretical XRD peak list in this record (Cu Kα (λ = 1.5418 Å)).
Lines closer than 0.1° are merged.

Structure:
Lattice parameters (Å, degrees): 7.7723 7.7723 5.8615 90.00 90.00 120.00
Sites, in units of the cell vectors:
Sc  0.0000  0.2570  0.2500
Sc  0.0000  0.7430  0.7500
Sc  0.2570  0.0000  0.2500
Sc  0.2570  0.2570  0.7500
Sc  0.3333  0.6667  0.0000
Sc  0.3333  0.6667  0.5000
Sc  0.6667  0.3333  0.0000
Sc  0.6667  0.3333  0.5000
Sc  0.7430  0.0000  0.7500
Sc  0.7430  0.7430  0.2500
Ru  0.0000  0.4022  0.7500
Ru  0.0000  0.5978  0.2500
Ru  0.4022  0.0000  0.7500
Ru  0.4022  0.4022  0.2500
Ru  0.5978  0.0000  0.2500
Ru  0.5978  0.5978  0.7500

Top 10 peaks for 2θ = 10–90°, sorted by position:
2θ/deg	I_rel
13.15	357
27.54	376
30.50	408
38.47	754
38.58	1000
40.19	416
40.83	259
51.35	542
59.67	261
69.66	184